SrTaNO2: simulated powder XRD pattern (Cu Kα X-rays), based on a structure optimized by DFT (GGA-PBE).

Main lines, by angle (2θ = 10–80°):
2θ = 21.74°, d 4.087, intensity 22, (1 0 -1); 2θ = 22.08°, d 4.026, intensity 10, (1 0 1); 2θ = 30.94°, d 2.890, intensity 51, (1 2 -1); 2θ = 31.18°, d 2.868, intensity 100, (2 0 0); 2θ = 44.32°, d 2.044, intensity 28, (0 4 0); 2θ = 45.03°, d 2.013, intensity 13, (2 0 2); 2θ = 55.19°, d 1.664, intensity 41, (1 2 -3); 2θ = 55.64°, d 1.652, intensity 21, (1 2 3); 2θ = 64.48°, d 1.445, intensity 8, (2 4 -2); 2θ = 65.01°, d 1.435, intensity 12, (2 4 2)

Structural model:
```
data_SrTaNO2
_chemical_formula_sum 'Sr4 Ta4 N4 O8'
_cell_length_a 5.730
_cell_length_b 8.179
_cell_length_c 5.741
_cell_angle_alpha 90.00
_cell_angle_beta 90.83
_cell_angle_gamma 90.00
_symmetry_space_group_name_H-M 'P 1 m 1'
_symmetry_Int_Tables_number 6
loop_
_symmetry_equiv_pos_as_xyz
'x,y,z'
'x,-y,z'
loop_
_atom_site_label
_atom_site_type_symbol
_atom_site_fract_x
_atom_site_fract_y
_atom_site_fract_z
_atom_site_occupancy
Sr1 Sr 0.000 0.000 0.000 1
Sr2 Sr 0.020 0.500 0.998 1
Sr3 Sr 0.500 0.000 0.495 1
Sr4 Sr 0.523 0.500 0.494 1
Ta1 Ta 0.001 0.242 0.502 1
Ta2 Ta 0.515 0.259 0.987 1
N1 N 0.024 0.000 0.520 1
N2 N 0.509 0.500 0.028 1
N3 N 0.778 0.264 0.759 1
O1 O 0.229 0.235 0.207 1
O2 O 0.283 0.275 0.710 1
O3 O 0.494 0.000 0.954 1
O4 O 0.731 0.226 0.261 1
O5 O 0.999 0.500 0.439 1
```

SrTaNO2: simulated powder XRD pattern (Cu Kα X-rays), based on a structure optimized by DFT (GGA-PBE).

Main lines, by angle (2θ = 10–80°):
2θ = 21.72°, d 4.092, intensity 22, (0 2 0); 2θ = 22.14°, d 4.015, intensity 10, (2 0 0); 2θ = 30.91°, d 2.893, intensity 51, (0 2 2); 2θ = 31.21°, d 2.866, intensity 100, (2 0 2); 2θ = 44.27°, d 2.046, intensity 28, (0 0 4); 2θ = 45.17°, d 2.007, intensity 13, (4 0 0); 2θ = 55.16°, d 1.665, intensity 41, (2 2 4); 2θ = 55.73°, d 1.649, intensity 21, (4 2 2); 2θ = 65.07°, d 1.433, intensity 12, (4 0 -4); 2θ = 74.61°, d 1.272, intensity 9, (6 0 2)

Structural model:
```
data_SrTaNO2
_chemical_formula_sum 'Sr8 Ta8 N8 O16'
_cell_length_a 8.030
_cell_length_b 8.192
_cell_length_c 8.176
_cell_angle_alpha 90.00
_cell_angle_beta 90.07
_cell_angle_gamma 90.00
_symmetry_space_group_name_H-M 'C 1 2 1'
_symmetry_Int_Tables_number 5
loop_
_symmetry_equiv_pos_as_xyz
'x,y,z'
'-x,y,-z'
'x+1/2,y+1/2,z'
'-x+1/2,y+1/2,-z'
loop_
_atom_site_label
_atom_site_type_symbol
_atom_site_fract_x
_atom_site_fract_y
_atom_site_fract_z
_atom_site_occupancy
Sr1 Sr 0.000 0.000 0.000 1
Sr2 Sr 0.000 0.008 0.500 1
Sr3 Sr 0.000 0.506 0.000 1
Sr4 Sr 0.000 0.516 0.500 1
Ta1 Ta 0.248 0.248 0.757 1
Ta2 Ta 0.249 0.265 0.245 1
N1 N 0.226 0.257 0.000 1
N2 N 0.229 0.006 0.746 1
O1 O 0.001 0.280 0.717 1
O2 O 0.001 0.731 0.768 1
O3 O 0.222 0.754 0.500 1
O4 O 0.223 0.006 0.259 1
```

TaNO: simulated powder XRD pattern (Cu Kα X-rays), based on a structure optimized by DFT (GGA-PBE).

Main lines, by angle (2θ = 10–80°):
2θ = 17.96°, d 4.939, intensity 14, (1 0 0); 2θ = 25.17°, d 3.538, intensity 15, (1 1 0); 2θ = 28.83°, d 3.096, intensity 100, (1 1 -1); 2θ = 32.38°, d 2.765, intensity 84, (1 1 1); 2θ = 34.81°, d 2.577, intensity 31, (0 0 2); 2θ = 35.42°, d 2.534, intensity 20, (0 2 0); 2θ = 36.38°, d 2.470, intensity 20, (2 0 0); 2θ = 41.79°, d 2.162, intensity 23, (2 1 -1); 2θ = 50.51°, d 1.807, intensity 19, (0 2 2); 2θ = 51.72°, d 1.768, intensity 28, (2 2 0)

Structural model:
```
data_TaNO
_chemical_formula_sum 'Ta4 N4 O4'
_cell_length_a 5.011
_cell_length_b 5.069
_cell_length_c 5.229
_cell_angle_alpha 90.00
_cell_angle_beta 99.71
_cell_angle_gamma 90.00
_symmetry_space_group_name_H-M 'P 1 21/c 1'
_symmetry_Int_Tables_number 14
loop_
_symmetry_equiv_pos_as_xyz
'x,y,z'
'-x,-y,-z'
'-x,y+1/2,-z+1/2'
'x,-y+1/2,z+1/2'
loop_
_atom_site_label
_atom_site_type_symbol
_atom_site_fract_x
_atom_site_fract_y
_atom_site_fract_z
_atom_site_occupancy
Ta1 Ta 0.206 0.046 0.284 1
N1 N 0.056 0.744 0.521 1
O1 O 0.438 0.175 0.653 1
```

TaNO: simulated powder XRD pattern (Cu Kα X-rays), based on a structure optimized by DFT (GGA-PBE).

Main lines, by angle (2θ = 10–80°):
2θ = 13.74°, d 6.447, intensity 47, (0 0 1); 2θ = 23.94°, d 3.717, intensity 100, (1 1 0); 2θ = 27.57°, d 3.235, intensity 38, (4 0 -1); 2θ = 27.67°, d 3.223, intensity 61, (0 0 2); 2θ = 31.39°, d 2.850, intensity 48, (3 1 0); 2θ = 33.25°, d 2.694, intensity 32, (4 0 -2); 2θ = 35.18°, d 2.551, intensity 32, (1 1 -2); 2θ = 37.03°, d 2.428, intensity 41, (3 1 1); 2θ = 37.56°, d 2.395, intensity 41, (3 1 -2); 2θ = 54.13°, d 1.694, intensity 33, (7 1 -1)

Structural model:
```
data_TaNO
_chemical_formula_sum 'Ta8 N8 O8'
_cell_length_a 13.180
_cell_length_b 3.891
_cell_length_c 6.765
_cell_angle_alpha 90.00
_cell_angle_beta 107.66
_cell_angle_gamma 90.00
_symmetry_space_group_name_H-M 'C 1 2/m 1'
_symmetry_Int_Tables_number 12
loop_
_symmetry_equiv_pos_as_xyz
'x,y,z'
'-x,-y,-z'
'-x,y,-z'
'x,-y,z'
'x+1/2,y+1/2,z'
'-x+1/2,-y+1/2,-z'
'-x+1/2,y+1/2,-z'
'x+1/2,-y+1/2,z'
loop_
_atom_site_label
_atom_site_type_symbol
_atom_site_fract_x
_atom_site_fract_y
_atom_site_fract_z
_atom_site_occupancy
Ta1 Ta 0.102 0.000 0.208 1
Ta2 Ta 0.188 0.000 0.806 1
N1 N 0.054 0.000 0.863 1
N2 N 0.241 0.500 0.852 1
O1 O 0.134 0.500 0.211 1
O2 O 0.140 0.000 0.507 1
```